No. 1
For SrLiNdCoO4, a crystal structure in Alexandria, relaxed with PBE+U gives the theoretical powder diffractogram in this record (a wavelength of 1.5418 Å).

Main lines, most intense first (10 to 80 degrees two-theta):
- d = 3.125 Å, 28.6°, I = 100, hkl 0 1 2
- d = 2.954 Å, 30.3°, I = 98, hkl 1 -1 0
- d = 3.335 Å, 26.7°, I = 92, hkl 0 1 -1
- d = 5.037 Å, 17.6°, I = 83, hkl 0 1 0
- d = 2.688 Å, 33.3°, I = 74, hkl 0 2 1
- d = 3.099 Å, 28.8°, I = 72, hkl 1 1 1
- d = 3.024 Å, 29.5°, I = 71, hkl 0 0 2
- d = 2.080 Å, 43.5°, I = 60, hkl 0 2 -1
- d = 4.790 Å, 18.5°, I = 59, hkl 0 1 1
- d = 2.896 Å, 30.9°, I = 58, hkl 1 1 0

Cell lengths 3.680, 5.392, 6.621 Å; angles 69.12, 77.53, 86.69 degrees
Space group P1 (No. 1)
Asymmetric unit:
Sr 0.000 0.000 0.000 [1 per cell]
Li 0.979 0.785 0.538 [1 per cell]
Nd 0.452 0.343 0.443 [1 per cell]
Co 0.526 0.531 0.874 [1 per cell]
O 0.110 0.472 0.753 [1 per cell]
O 0.447 0.216 0.147 [1 per cell]
O 0.607 0.938 0.720 [1 per cell]
O 0.949 0.612 0.332 [1 per cell]

=====

No. 2
For SrLiNdCoO4, a crystal structure in Alexandria, relaxed with PBE+U gives the theoretical powder diffractogram in this record (a wavelength of 1.5418 Å).

Main lines, most intense first (10 to 80 degrees two-theta):
- d = 3.390 Å, 26.3°, I = 100, hkl 1 1 1
- d = 7.211 Å, 12.3°, I = 84, hkl 0 0 1
- d = 3.408 Å, 26.1°, I = 80, hkl 1 1 -1
- d = 2.707 Å, 33.1°, I = 79, hkl 0 2 0
- d = 1.927 Å, 47.2°, I = 79, hkl 2 2 0
- d = 2.744 Å, 32.6°, I = 77, hkl 2 0 0
- d = 2.642 Å, 33.9°, I = 74, hkl 1 1 -2
- d = 2.624 Å, 34.2°, I = 54, hkl 1 1 2
- d = 2.404 Å, 37.4°, I = 40, hkl 0 0 3
- d = 2.034 Å, 44.6°, I = 37, hkl 1 1 3

Cell lengths 5.487, 5.414, 7.211 Å; angles 90.00, 90.53, 90.00 degrees
Space group Cm (No. 8)
Asymmetric unit:
Sr 0.000 0.000 0.000 [2 per cell]
Li 0.495 0.000 0.230 [2 per cell]
Nd 0.464 0.000 0.618 [2 per cell]
Co 0.475 0.500 0.402 [2 per cell]
O 0.032 0.000 0.683 [2 per cell]
O 0.229 0.251 0.360 [4 per cell]
O 0.495 0.000 0.950 [2 per cell]

=====

No. 3
For SrLiNdCoO4, a crystal structure in Alexandria, relaxed with PBE+U gives the theoretical powder diffractogram in this record (a wavelength of 1.5418 Å).

Main lines, most intense first (10 to 80 degrees two-theta):
- d = 3.418 Å, 26.1°, I = 100, hkl 0 1 1
- d = 2.494 Å, 36.0°, I = 95, hkl 1 1 0
- d = 1.902 Å, 47.8°, I = 91, hkl 1 1 3
- d = 2.677 Å, 33.5°, I = 78, hkl 1 0 2
- d = 8.818 Å, 10.0°, I = 75, hkl 0 0 1
- d = 2.939 Å, 30.4°, I = 71, hkl 0 0 3
- d = 3.148 Å, 28.4°, I = 53, hkl 1 0 1
- d = 2.838 Å, 31.5°, I = 53, hkl 0 1 2
- d = 2.400 Å, 37.5°, I = 29, hkl 1 1 1
- d = 1.854 Å, 49.1°, I = 28, hkl 0 2 0

Cell lengths 3.370, 3.708, 8.818 Å; angles 90.00, 90.00, 90.00 degrees
Space group Pmm2 (No. 25)
Asymmetric unit:
Sr 0.000 0.000 0.000 [1 per cell]
Li 0.500 0.500 0.305 [1 per cell]
Nd 0.500 0.500 0.678 [1 per cell]
Co 0.000 0.000 0.374 [1 per cell]
O 0.000 0.000 0.706 [1 per cell]
O 0.000 0.500 0.453 [1 per cell]
O 0.500 0.000 0.246 [1 per cell]
O 0.500 0.500 0.934 [1 per cell]

=====

No. 4
For SrLiNdCoO4, a crystal structure in Alexandria, relaxed with PBE+U gives the theoretical powder diffractogram in this record (a wavelength of 1.5418 Å).

Main lines, most intense first (10 to 80 degrees two-theta):
- d = 2.807 Å, 31.9°, I = 100, hkl 1 0 -2
- d = 2.719 Å, 32.9°, I = 66, hkl 0 1 2
- d = 7.176 Å, 12.3°, I = 51, hkl 0 0 1
- d = 4.167 Å, 21.3°, I = 36, hkl 0 1 0
- d = 2.441 Å, 36.8°, I = 36, hkl 1 0 2
- d = 2.083 Å, 43.4°, I = 27, hkl 0 2 0
- d = 3.793 Å, 23.5°, I = 25, hkl 1 0 0
- d = 2.330 Å, 38.6°, I = 23, hkl 1 1 -2
- d = 1.585 Å, 58.2°, I = 18, hkl 1 2 2
- d = 1.674 Å, 54.9°, I = 18, hkl 1 2 -2

Cell lengths 3.830, 4.167, 7.248 Å; angles 90.00, 98.07, 90.00 degrees
Space group Pm (No. 6)
Asymmetric unit:
Sr 0.000 0.000 0.000 [1 per cell]
Li 0.502 0.500 0.275 [1 per cell]
Nd 0.927 0.000 0.508 [1 per cell]
Co 0.444 0.500 0.729 [1 per cell]
O 0.130 0.500 0.429 [1 per cell]
O 0.484 0.000 0.709 [1 per cell]
O 0.563 0.000 0.216 [1 per cell]
O 0.969 0.500 0.814 [1 per cell]

=====

Repeat the third record exactly.
For SrLiNdCoO4, a crystal structure in Alexandria, relaxed with PBE+U gives the theoretical powder diffractogram in this record (a wavelength of 1.5418 Å).

Main lines, most intense first (10 to 80 degrees two-theta):
- d = 3.418 Å, 26.1°, I = 100, hkl 0 1 1
- d = 2.494 Å, 36.0°, I = 95, hkl 1 1 0
- d = 1.902 Å, 47.8°, I = 91, hkl 1 1 3
- d = 2.677 Å, 33.5°, I = 78, hkl 1 0 2
- d = 8.818 Å, 10.0°, I = 75, hkl 0 0 1
- d = 2.939 Å, 30.4°, I = 71, hkl 0 0 3
- d = 3.148 Å, 28.4°, I = 53, hkl 1 0 1
- d = 2.838 Å, 31.5°, I = 53, hkl 0 1 2
- d = 2.400 Å, 37.5°, I = 29, hkl 1 1 1
- d = 1.854 Å, 49.1°, I = 28, hkl 0 2 0

Cell lengths 3.370, 3.708, 8.818 Å; angles 90.00, 90.00, 90.00 degrees
Space group Pmm2 (No. 25)
Asymmetric unit:
Sr 0.000 0.000 0.000 [1 per cell]
Li 0.500 0.500 0.305 [1 per cell]
Nd 0.500 0.500 0.678 [1 per cell]
Co 0.000 0.000 0.374 [1 per cell]
O 0.000 0.000 0.706 [1 per cell]
O 0.000 0.500 0.453 [1 per cell]
O 0.500 0.000 0.246 [1 per cell]
O 0.500 0.500 0.934 [1 per cell]